# Y3AgO5
Theoretical powder XRD pattern, Cu Kα. Input: a structure optimized by DFT (PBE).
Peak positions follow from Bragg's law for the DFT cell and can differ from measured ones.

Top 10 peaks for 10 to 90 degrees two-theta, by angle:
d/Å	I/Imax
3.145	57
3.107	64
3.087	18
2.883	100
2.754	92
2.095	22
1.827	63
1.779	25
1.689	23
1.575	43

Atomic structure:
Lattice parameters (Å, degrees): 10.231 10.231 10.231 41.85 41.85 41.85
Atoms (fractional coordinates):
Y: 0.029 0.485 0.485
Y: 0.070 0.070 0.525
Y: 0.070 0.525 0.070
Y: 0.277 0.277 0.764
Y: 0.277 0.764 0.277
Y: 0.485 0.029 0.485
Y: 0.485 0.485 0.029
Y: 0.525 0.070 0.070
Y: 0.764 0.277 0.277
Ag: 0.551 0.551 0.551
Ag: 0.761 0.761 0.761
Ag: 0.977 0.977 0.977
O: 0.173 0.173 0.731
O: 0.173 0.731 0.173
O: 0.186 0.186 0.186
O: 0.293 0.293 0.293
O: 0.392 0.392 0.392
O: 0.425 0.425 0.904
O: 0.425 0.904 0.425
O: 0.463 0.962 0.962
O: 0.475 0.475 0.475
O: 0.678 0.678 0.678
O: 0.731 0.173 0.173
O: 0.896 0.896 0.896
O: 0.904 0.425 0.425
O: 0.962 0.463 0.962
O: 0.962 0.962 0.463

=====

# YAgO3
Theoretical powder XRD pattern, Cu Kα. Input: a structure optimized by DFT (PBE).
Peak positions follow from Bragg's law for the DFT cell and can differ from measured ones.

Top 10 peaks for 10 to 90 degrees two-theta, by angle:
d/Å	I/Imax
3.135	100
2.912	42
2.841	88
2.494	21
1.894	24
1.879	54
1.667	21
1.579	38
1.567	15
1.204	15

Atomic structure:
Lattice parameters (Å, degrees): 6.510 6.510 11.647 90.00 90.00 120.00
Atoms (fractional coordinates):
Y: 0.000 0.000 0.000
Y: 0.000 0.000 0.500
Y: 0.333 0.667 0.461
Y: 0.333 0.667 0.961
Y: 0.667 0.333 0.461
Y: 0.667 0.333 0.961
Ag: 0.000 0.332 0.229
Ag: 0.000 0.668 0.729
Ag: 0.332 0.000 0.229
Ag: 0.332 0.332 0.729
Ag: 0.668 0.000 0.729
Ag: 0.668 0.668 0.229
O: 0.000 0.000 0.199
O: 0.000 0.000 0.699
O: 0.000 0.311 0.402
O: 0.000 0.356 0.055
O: 0.000 0.644 0.555
O: 0.000 0.689 0.902
O: 0.311 0.000 0.402
O: 0.311 0.311 0.902
O: 0.333 0.667 0.255
O: 0.333 0.667 0.755
O: 0.356 0.000 0.055
O: 0.356 0.356 0.555
O: 0.644 0.000 0.555
O: 0.644 0.644 0.055
O: 0.667 0.333 0.255
O: 0.667 0.333 0.755
O: 0.689 0.000 0.902
O: 0.689 0.689 0.402